(1)
The following is a calculated PXRD pattern of BiS3. It was derived from a crystal structure in Alexandria, relaxed with PBE, using copper Kα.
No peak broadening, texture or thermal motion is included.

Structural model:
Cell: 5.8542 4.0035 9.6039 Å, 90.00 106.85 90.00°
Positions (direct):
Bi: 0.1681 0.2500 0.3578
Bi: 0.8319 0.7500 0.6422
S: 0.1042 0.2500 0.8744
S: 0.2330 0.7500 0.1205
S: 0.2747 0.7500 0.5555
S: 0.7253 0.2500 0.4445
S: 0.7670 0.2500 0.8795
S: 0.8958 0.7500 0.1256

Main lines, by intensity (10° ≤ 2θ ≤ 90°):
2θ/deg	intensity
29.59	100.0
27.43	54.8
15.82	42.8
39.23	42.0
20.82	40.4
21.15	35.7
24.25	29.1
15.96	26.3
36.40	25.0
30.55	23.5
32.24	20.4
36.73	18.0

(2)
The following is a calculated PXRD pattern of Bi4SbS7. It was derived from a crystal structure in Alexandria, relaxed with PBE, using copper Kα.
No peak broadening, texture or thermal motion is included.

Structural model:
Cell: 6.9893 6.9893 12.0613 Å, 104.39 104.39 34.03°
Positions (direct):
Bi: 0.0000 0.0000 0.0000
Bi: 0.2016 0.2016 0.7393
Bi: 0.5744 0.5744 0.3924
Bi: 0.8884 0.8884 0.5617
Sb: 0.7581 0.7581 0.1229
S: 0.1564 0.1564 0.2009
S: 0.2322 0.2322 0.5213
S: 0.3842 0.3842 0.0647
S: 0.5451 0.5451 0.6107
S: 0.6246 0.6246 0.9269
S: 0.8428 0.8428 0.7784
S: 0.9346 0.9346 0.3479

Main lines, by intensity (10° ≤ 2θ ≤ 90°):
2θ/deg	intensity
23.47	100.0
23.08	98.4
32.47	62.7
29.74	62.2
26.49	59.0
40.08	57.1
30.17	54.1
26.68	45.4
31.31	45.2
24.64	40.8
22.85	36.8
44.29	36.6

(3)
The following is a calculated PXRD pattern of BiSbS4. It was derived from a crystal structure in Alexandria, relaxed with PBE, using copper Kα.
No peak broadening, texture or thermal motion is included.

Structural model:
Cell: 6.7348 3.8113 6.8104 Å, 90.00 91.60 90.00°
Positions (direct):
Bi: 0.0000 0.0000 0.0000
Sb: 0.0000 0.5000 0.5000
S: 0.2224 0.0000 0.3618
S: 0.2267 0.5000 0.7974
S: 0.7733 0.5000 0.2026
S: 0.7776 0.0000 0.6382

Main lines, by intensity (10° ≤ 2θ ≤ 90°):
2θ/deg	intensity
13.15	100.0
29.78	66.3
26.81	23.8
37.77	22.6
38.30	15.2
49.29	14.4
46.58	13.1
38.12	12.9
26.18	11.1
30.13	9.5
37.03	8.6
48.95	7.7